Computed powder diffractogram
Compound: Tb4Se5S
Radiation: Cu Ka
Structure: a DFT-relaxed cell (PBE, Alexandria)
Peak positions follow from Bragg's law for the DFT cell and can differ from measured ones.

Structural model:
```
data_Tb4Se5S
_cell_length_a 17.900
_cell_length_b 4.096
_cell_length_c 8.212
_cell_angle_alpha 90.00
_cell_angle_beta 105.62
_cell_angle_gamma 90.00
_symmetry_space_group_name_H-M 'C 1 2/m 1'
_symmetry_Int_Tables_number 12
_symmetry_space_group_name_Hall '-C 2y'
loop_
_atom_site_label
_atom_site_type_symbol
_atom_site_fract_x
_atom_site_fract_y
_atom_site_fract_z
Tb1 Tb 0.003 0.000 0.256
Tb2 Tb 0.177 0.500 0.115
Se1 Se 0.000 0.500 0.500
Se2 Se 0.162 0.000 0.337
Se3 Se 0.162 0.000 0.856
S1 S 0.000 0.500 0.000
```

Top 10 peaks for 2θ = 5–70°, by angle:
2theta	d_spacing	I/Imax	(hkl)
11.19	7.909	19	0 0 1
17.14	5.174	30	2 0 1
20.64	4.304	16	4 0 -1
27.35	3.261	12	3 1 -1
30.85	2.899	100	1 1 -2
31.13	2.873	49	6 0 0
43.70	2.071	42	7 1 -2
44.19	2.049	35	0 2 0
45.07	2.012	34	5 1 2
55.07	1.668	19	6 2 0